Computed powder diffractogram of HfN2 for Cu Kα, 1.54184 Å, from a DFT-relaxed cell (PBE, the Materials Project).
Lines closer than 0.1° are merged.

Structural model:
```
HfN2
1.0
3.257 0.000 0.000
-1.628 2.821 0.000
0.000 0.000 7.607
Hf N
2 4
Direct
0.333 0.667 0.250
0.667 0.333 0.750
0.000 0.000 0.094
0.000 0.000 0.406
0.000 0.000 0.594
0.000 0.000 0.906
```

Principal peaks in the range 5° ≤ 2θ ≤ 70°, most intense first:
2theta, intensity, hkl
33.9, 100.0, 1 0 1
23.4, 49.6, 0 0 2
48.3, 37.5, 1 0 3
39.8, 26.7, 1 0 2
62.0, 21.7, 1 1 2
56.5, 19.7, 1 1 0
67.6, 13.8, 2 0 1
58.5, 9.6, 1 0 4
31.7, 9.1, 1 0 0
47.8, 7.0, 0 0 4



Computed powder diffractogram of Hf2N for Cu Kα, 1.54184 Å, from a DFT-relaxed cell (PBE, the Materials Project).
Lines closer than 0.1° are merged.

Structural model:
```
Hf2N
1.0
5.348 0.000 0.000
0.000 5.348 0.000
0.000 0.000 3.254
Hf N
4 2
Direct
0.205 0.205 0.000
0.295 0.705 0.500
0.705 0.295 0.500
0.795 0.795 0.000
0.000 0.000 0.500
0.500 0.500 0.000
```

Principal peaks in the range 5° ≤ 2θ ≤ 70°, most intense first:
2theta, intensity, hkl
36.4, 100.0, 1 1 1
33.5, 47.4, 2 0 0
37.6, 29.0, 2 1 0
61.8, 20.4, 3 1 1
59.1, 18.1, 3 0 1
48.1, 14.9, 2 2 0
69.7, 13.3, 3 2 1
67.4, 13.2, 2 0 2
69.9, 9.6, 2 1 2
32.2, 9.5, 1 0 1



Computed powder diffractogram of HfN for Cu Kα, 1.54184 Å, from a DFT-relaxed cell (PBE, the Materials Project).
Lines closer than 0.1° are merged.

Structural model:
```
HfN
1.0
4.910 0.000 0.000
0.000 4.910 0.000
0.000 0.000 4.910
Hf N
4 4
Direct
0.000 0.000 0.000
0.000 0.500 0.500
0.500 0.000 0.500
0.500 0.500 0.000
0.250 0.250 0.750
0.250 0.750 0.250
0.750 0.250 0.250
0.750 0.750 0.750
```

Principal peaks in the range 5° ≤ 2θ ≤ 70°, most intense first:
2theta, intensity, hkl
31.6, 100.0, 1 1 1
36.6, 42.9, 2 0 0
62.8, 42.6, 3 1 1
52.7, 40.4, 2 2 0
65.9, 10.9, 2 2 2



Computed powder diffractogram of HfN for Cu Kα, 1.54184 Å, from a DFT-relaxed cell (PBE, the Materials Project).
Lines closer than 0.1° are merged.

Structural model:
```
HfN
1.0
2.816 0.000 0.000
0.000 2.816 0.000
0.000 0.000 2.816
Hf N
1 1
Direct
0.000 0.000 0.000
0.500 0.500 0.500
```

Principal peaks in the range 5° ≤ 2θ ≤ 70°, most intense first:
2theta, intensity, hkl
45.6, 100.0, 1 1 0
31.8, 99.2, 1 0 0
56.6, 27.3, 1 1 1
66.4, 16.0, 2 0 0



Computed powder diffractogram of HfN for Cu Kα, 1.54184 Å, from a DFT-relaxed cell (PBE, the Materials Project).
Lines closer than 0.1° are merged.

Structural model:
```
HfN
1.0
3.156 0.000 0.000
-1.578 2.734 0.000
0.000 0.000 5.429
Hf N
2 2
Direct
0.333 0.667 0.250
0.667 0.333 0.750
0.000 0.000 0.000
0.000 0.000 0.500
```

Principal peaks in the range 5° ≤ 2θ ≤ 70°, most intense first:
2theta, intensity, hkl
36.8, 100.0, 1 0 1
33.0, 25.2, 0 0 2
61.4, 22.8, 1 0 3
47.2, 21.4, 1 0 2
58.5, 19.8, 1 1 0
68.8, 19.5, 1 1 2
32.8, 16.1, 1 0 0
69.2, 4.0, 0 0 4
68.7, 2.2, 2 0 0



Computed powder diffractogram of HfN for Cu Kα, 1.54184 Å, from a DFT-relaxed cell (PBE, the Materials Project).
Lines closer than 0.1° are merged.

Structural model:
```
HfN
1.0
4.538 0.000 0.000
0.000 4.538 0.000
0.000 0.000 4.538
Hf N
4 4
Direct
0.000 0.000 0.000
0.000 0.500 0.500
0.500 0.000 0.500
0.500 0.500 0.000
0.000 0.000 0.500
0.000 0.500 0.000
0.500 0.000 0.000
0.500 0.500 0.500
```

Principal peaks in the range 5° ≤ 2θ ≤ 70°, most intense first:
2theta, intensity, hkl
34.2, 100.0, 1 1 1
39.7, 67.9, 2 0 0
57.4, 45.6, 2 2 0
68.6, 42.7, 3 1 1



Computed powder diffractogram of HfN2 for Cu Kα, 1.54184 Å, from a DFT-relaxed cell (PBE, the Materials Project).
Lines closer than 0.1° are merged.

Structural model:
```
HfN2
1.0
3.262 0.000 0.000
-1.631 2.825 0.000
0.000 0.000 3.811
Hf N
1 2
Direct
0.000 0.000 0.000
0.333 0.667 0.311
0.333 0.667 0.689
```

Principal peaks in the range 5° ≤ 2θ ≤ 70°, most intense first:
2theta, intensity, hkl
39.7, 100.0, 1 0 1
31.7, 75.0, 1 0 0
23.3, 54.4, 0 0 1
58.4, 33.8, 1 0 2
61.9, 23.8, 1 1 1
56.4, 21.6, 1 1 0
66.2, 9.6, 2 0 0
47.7, 7.7, 0 0 2



Computed powder diffractogram of HfNbN2 for Cu Kα, 1.54184 Å, from a DFT-relaxed cell (PBE, the Materials Project).
Lines closer than 0.1° are merged.

Structural model:
```
HfNbN2
1.0
3.179 0.000 0.000
-1.589 2.753 0.000
0.000 0.000 15.618
Hf Nb N
3 3 6
Direct
0.000 0.000 0.000
0.333 0.667 0.667
0.667 0.333 0.333
0.000 0.000 0.500
0.333 0.667 0.167
0.667 0.333 0.833
0.000 0.000 0.254
0.000 0.000 0.746
0.333 0.667 0.412
0.333 0.667 0.921
0.667 0.333 0.079
0.667 0.333 0.588
```

Principal peaks in the range 5° ≤ 2θ ≤ 70°, most intense first:
2theta, intensity, hkl
34.5, 100.0, 0 0 6
40.1, 73.6, 1 0 4
69.3, 31.5, 2 0 2
57.9, 24.2, 0 1 8
58.0, 24.1, 1 1 0
17.0, 15.0, 0 0 3
69.2, 10.6, 1 0 10
33.0, 8.8, 1 0 1
43.8, 4.0, 0 1 5
52.8, 3.6, 1 0 7



Copy entry 6 word for word.
Computed powder diffractogram of HfN for Cu Kα, 1.54184 Å, from a DFT-relaxed cell (PBE, the Materials Project).
Lines closer than 0.1° are merged.

Structural model:
```
HfN
1.0
4.538 0.000 0.000
0.000 4.538 0.000
0.000 0.000 4.538
Hf N
4 4
Direct
0.000 0.000 0.000
0.000 0.500 0.500
0.500 0.000 0.500
0.500 0.500 0.000
0.000 0.000 0.500
0.000 0.500 0.000
0.500 0.000 0.000
0.500 0.500 0.500
```

Principal peaks in the range 5° ≤ 2θ ≤ 70°, most intense first:
2theta, intensity, hkl
34.2, 100.0, 1 1 1
39.7, 67.9, 2 0 0
57.4, 45.6, 2 2 0
68.6, 42.7, 3 1 1